Record 1
# Nd15Ho4Tl
Simulated powder diffractogram, λ = 1.5418 Å (Cu Kα). Input: the PBE geometry in Alexandria.
Kinematic intensities with the Lorentz-polarization factor, no thermal factor.

Atomic structure:
```
data_Nd15Ho4Tl
_cell_length_a 5.107
_cell_length_b 5.107
_cell_length_c 25.776
_cell_angle_alpha 90.00
_cell_angle_beta 90.00
_cell_angle_gamma 90.00
_symmetry_space_group_name_H-M 'P 4/m m m'
_symmetry_Int_Tables_number 123
_symmetry_space_group_name_Hall '-P 4 2'
loop_
_atom_site_label
_atom_site_type_symbol
_atom_site_fract_x
_atom_site_fract_y
_atom_site_fract_z
Nd1 Nd 0.000 0.000 0.000
Nd2 Nd 0.000 0.000 0.198
Nd3 Nd 0.000 0.000 0.399
Nd4 Nd 0.000 0.500 0.097
Nd5 Nd 0.000 0.500 0.299
Nd6 Nd 0.000 0.500 0.500
Ho1 Ho 0.500 0.500 0.198
Ho2 Ho 0.500 0.500 0.400
Tl1 Tl 0.500 0.500 0.000
```

Largest 6 diffraction maxima, sorted by position, 2θ from 15° to 90°:
30.2 deg, I = 100.0, hkl 1 1 5; 34.8 deg, I = 17.1, hkl 0 0 10; 35.1 deg, I = 33.6, hkl 2 0 0; 50.3 deg, I = 24.1, hkl 2 0 10; 59.6 deg, I = 14.3, hkl 1 1 15; 60.0 deg, I = 28.6, hkl 3 1 5

---

Record 2
# Cs2SrPCl6
Simulated powder diffractogram, λ = 1.5418 Å (Cu Kα). Input: the PBE geometry in Alexandria.
Kinematic intensities with the Lorentz-polarization factor, no thermal factor.

Atomic structure:
```
data_Cs2SrPCl6
_cell_length_a 7.485
_cell_length_b 7.485
_cell_length_c 12.604
_cell_angle_alpha 90.00
_cell_angle_beta 90.00
_cell_angle_gamma 90.00
_symmetry_space_group_name_H-M 'I 4/m m m'
_symmetry_Int_Tables_number 139
_symmetry_space_group_name_Hall '-I 4 2'
loop_
_atom_site_label
_atom_site_type_symbol
_atom_site_fract_x
_atom_site_fract_y
_atom_site_fract_z
Cs1 Cs 0.000 0.500 0.250
Sr1 Sr 0.000 0.000 0.000
P1 P 0.000 0.000 0.500
Cl1 Cl 0.000 0.000 0.224
Cl2 Cl 0.227 0.227 0.500
```

Largest 6 diffraction maxima, sorted by position, 2θ from 15° to 90°:
21.9 deg, I = 100.0, hkl 1 1 2; 23.8 deg, I = 40.9, hkl 2 0 0; 27.7 deg, I = 71.3, hkl 2 0 2; 28.3 deg, I = 46.8, hkl 0 0 4; 33.9 deg, I = 57.3, hkl 2 2 0; 44.7 deg, I = 47.5, hkl 2 2 4

---

Record 3
# KMoS2Cl
Simulated powder diffractogram, λ = 1.5418 Å (Cu Kα). Input: the PBE geometry in Alexandria.
Kinematic intensities with the Lorentz-polarization factor, no thermal factor.

Atomic structure:
```
data_KMoS2Cl
_cell_length_a 4.685
_cell_length_b 4.685
_cell_length_c 5.243
_cell_angle_alpha 90.00
_cell_angle_beta 90.00
_cell_angle_gamma 90.00
_symmetry_space_group_name_H-M 'P 4/m m m'
_symmetry_Int_Tables_number 123
_symmetry_space_group_name_Hall '-P 4 2'
loop_
_atom_site_label
_atom_site_type_symbol
_atom_site_fract_x
_atom_site_fract_y
_atom_site_fract_z
K1 K 0.000 0.000 0.000
Mo1 Mo 0.500 0.500 0.500
S1 S 0.000 0.500 0.500
Cl1 Cl 0.500 0.500 0.000
```

Largest 6 diffraction maxima, sorted by position, 2θ from 15° to 90°:
16.9 deg, I = 50.7, hkl 0 0 1; 18.9 deg, I = 87.2, hkl 1 0 0; 25.5 deg, I = 100.0, hkl 1 0 1; 34.2 deg, I = 63.3, hkl 0 0 2; 38.4 deg, I = 89.3, hkl 2 0 0; 52.4 deg, I = 69.6, hkl 2 0 2

---

Record 4
# SrTmTe
Simulated powder diffractogram, λ = 1.5418 Å (Cu Kα). Input: the PBE geometry in Alexandria.
Kinematic intensities with the Lorentz-polarization factor, no thermal factor.

Atomic structure:
```
data_SrTmTe
_cell_length_a 4.1848
_cell_length_b 4.1848
_cell_length_c 36.5090
_cell_angle_alpha 90.00
_cell_angle_beta 90.00
_cell_angle_gamma 120.00
_symmetry_space_group_name_H-M 'P -3 m 1'
_symmetry_Int_Tables_number 164
_symmetry_space_group_name_Hall '-P 3 2"'
loop_
_atom_site_label
_atom_site_type_symbol
_atom_site_fract_x
_atom_site_fract_y
_atom_site_fract_z
Sr1 Sr 0.3333 0.6667 0.2292
Sr2 Sr 0.3333 0.6667 0.3494
Tm1 Tm 0.3333 0.6667 0.8573
Tm2 Tm 0.3333 0.6667 0.9648
Te1 Te 0.3333 0.6667 0.0904
Te2 Te 0.3333 0.6667 0.7103
```

Largest 6 diffraction maxima, sorted by position, 2θ from 15° to 90°:
24.6 deg, I = 38.0, hkl 1 0 0; 30.0 deg, I = 22.2, hkl 0 1 7; 31.5 deg, I = 100.0, hkl 0 1 8; 43.3 deg, I = 44.3, hkl 1 1 0; 54.5 deg, I = 21.2, hkl 2 0 8; 72.0 deg, I = 18.4, hkl 1 2 8

---

Record 5
# KSrSe3
Simulated powder diffractogram, λ = 1.5418 Å (Cu Kα). Input: the PBE geometry in Alexandria.
Kinematic intensities with the Lorentz-polarization factor, no thermal factor.

Atomic structure:
```
data_KSrSe3
_cell_length_a 5.942
_cell_length_b 5.942
_cell_length_c 5.942
_cell_angle_alpha 90.00
_cell_angle_beta 90.00
_cell_angle_gamma 90.00
_symmetry_space_group_name_H-M 'P m -3 m'
_symmetry_Int_Tables_number 221
_symmetry_space_group_name_Hall '-P 4 2 3'
loop_
_atom_site_label
_atom_site_type_symbol
_atom_site_fract_x
_atom_site_fract_y
_atom_site_fract_z
K1 K 0.000 0.000 0.000
Sr1 Sr 0.500 0.500 0.500
Se1 Se 0.000 0.500 0.500
```

Largest 6 diffraction maxima, sorted by position, 2θ from 15° to 90°:
26.0 deg, I = 53.6, hkl 1 1 1; 30.1 deg, I = 100.0, hkl 2 0 0; 33.7 deg, I = 35.0, hkl 2 1 0; 43.1 deg, I = 72.8, hkl 2 2 0; 53.4 deg, I = 25.3, hkl 2 2 2; 70.9 deg, I = 32.0, hkl 4 2 0

---

Record 6
# KMg3C4O12
Simulated powder diffractogram, λ = 1.5418 Å (Cu Kα). Input: the PBE geometry in Alexandria.
Kinematic intensities with the Lorentz-polarization factor, no thermal factor.

Atomic structure:
```
data_KMg3C4O12
_cell_length_a 9.6470
_cell_length_b 9.6470
_cell_length_c 8.3192
_cell_angle_alpha 90.00
_cell_angle_beta 90.00
_cell_angle_gamma 120.00
_symmetry_space_group_name_H-M 'R 3 2'
_symmetry_Int_Tables_number 155
_symmetry_space_group_name_Hall 'R 3 2"'
loop_
_atom_site_label
_atom_site_type_symbol
_atom_site_fract_x
_atom_site_fract_y
_atom_site_fract_z
K1 K 0.0000 0.0000 0.0000
Mg1 Mg 0.0000 0.5491 0.0000
C1 C 0.0000 0.0000 0.5000
C2 C 0.0000 0.4530 0.5000
O1 O 0.0000 0.5892 0.5000
O2 O 0.0000 0.8656 0.5000
O3 O 0.0091 0.2139 0.2043
```

Largest 6 diffraction maxima, sorted by position, 2θ from 15° to 90°:
30.3 deg, I = 100.0, hkl 2 0 2; 35.7 deg, I = 10.9, hkl 1 2 2; 44.8 deg, I = 26.9, hkl 3 1 2; 48.9 deg, I = 13.1, hkl 0 2 4; 50.1 deg, I = 12.7, hkl 2 2 3; 57.3 deg, I = 9.5, hkl 3 3 0

---

Record 7
# TaNi2TeN
Simulated powder diffractogram, λ = 1.5418 Å (Cu Kα). Input: the PBE geometry in Alexandria.
Kinematic intensities with the Lorentz-polarization factor, no thermal factor.

Atomic structure:
```
data_TaNi2TeN
_cell_length_a 3.889
_cell_length_b 3.889
_cell_length_c 4.670
_cell_angle_alpha 90.00
_cell_angle_beta 90.00
_cell_angle_gamma 90.00
_symmetry_space_group_name_H-M 'P 4/m m m'
_symmetry_Int_Tables_number 123
_symmetry_space_group_name_Hall '-P 4 2'
loop_
_atom_site_label
_atom_site_type_symbol
_atom_site_fract_x
_atom_site_fract_y
_atom_site_fract_z
Ta1 Ta 0.000 0.000 0.000
Ni1 Ni 0.000 0.500 0.500
Te1 Te 0.500 0.500 0.000
N1 N 0.500 0.500 0.500
```

Largest 6 diffraction maxima, sorted by position, 2θ from 15° to 90°:
19.0 deg, I = 19.2, hkl 0 0 1; 38.0 deg, I = 100.0, hkl 1 1 1; 38.6 deg, I = 27.0, hkl 0 0 2; 46.7 deg, I = 30.9, hkl 2 0 0; 62.1 deg, I = 25.7, hkl 2 0 2; 80.8 deg, I = 21.8, hkl 3 1 1

---

Record 8
# Ac2PuSb3Rh6
Simulated powder diffractogram, λ = 1.5418 Å (Cu Kα). Input: the PBE geometry in Alexandria.
Kinematic intensities with the Lorentz-polarization factor, no thermal factor.

Atomic structure:
```
data_Ac2PuSb3Rh6
_cell_length_a 4.116
_cell_length_b 4.116
_cell_length_c 17.269
_cell_angle_alpha 90.00
_cell_angle_beta 90.00
_cell_angle_gamma 90.00
_symmetry_space_group_name_H-M 'P 4/m m m'
_symmetry_Int_Tables_number 123
_symmetry_space_group_name_Hall '-P 4 2'
loop_
_atom_site_label
_atom_site_type_symbol
_atom_site_fract_x
_atom_site_fract_y
_atom_site_fract_z
Ac1 Ac 0.000 0.000 0.137
Pu1 Pu 0.000 0.000 0.500
Sb1 Sb 0.500 0.500 0.000
Sb2 Sb 0.500 0.500 0.300
Rh1 Rh 0.000 0.500 0.394
Rh2 Rh 0.500 0.500 0.152
```

Largest 6 diffraction maxima, sorted by position, 2θ from 15° to 90°:
26.6 deg, I = 100.0, hkl 1 0 3; 30.7 deg, I = 45.9, hkl 1 1 0; 31.1 deg, I = 49.4, hkl 1 1 1; 40.5 deg, I = 55.7, hkl 1 1 5; 44.0 deg, I = 70.9, hkl 2 0 0; 44.3 deg, I = 59.4, hkl 1 1 6

---

Repeat the eighth record exactly.
# Ac2PuSb3Rh6
Simulated powder diffractogram, λ = 1.5418 Å (Cu Kα). Input: the PBE geometry in Alexandria.
Kinematic intensities with the Lorentz-polarization factor, no thermal factor.

Atomic structure:
```
data_Ac2PuSb3Rh6
_cell_length_a 4.116
_cell_length_b 4.116
_cell_length_c 17.269
_cell_angle_alpha 90.00
_cell_angle_beta 90.00
_cell_angle_gamma 90.00
_symmetry_space_group_name_H-M 'P 4/m m m'
_symmetry_Int_Tables_number 123
_symmetry_space_group_name_Hall '-P 4 2'
loop_
_atom_site_label
_atom_site_type_symbol
_atom_site_fract_x
_atom_site_fract_y
_atom_site_fract_z
Ac1 Ac 0.000 0.000 0.137
Pu1 Pu 0.000 0.000 0.500
Sb1 Sb 0.500 0.500 0.000
Sb2 Sb 0.500 0.500 0.300
Rh1 Rh 0.000 0.500 0.394
Rh2 Rh 0.500 0.500 0.152
```

Largest 6 diffraction maxima, sorted by position, 2θ from 15° to 90°:
26.6 deg, I = 100.0, hkl 1 0 3; 30.7 deg, I = 45.9, hkl 1 1 0; 31.1 deg, I = 49.4, hkl 1 1 1; 40.5 deg, I = 55.7, hkl 1 1 5; 44.0 deg, I = 70.9, hkl 2 0 0; 44.3 deg, I = 59.4, hkl 1 1 6

---

Repeat the eighth record exactly.
# Ac2PuSb3Rh6
Simulated powder diffractogram, λ = 1.5418 Å (Cu Kα). Input: the PBE geometry in Alexandria.
Kinematic intensities with the Lorentz-polarization factor, no thermal factor.

Atomic structure:
```
data_Ac2PuSb3Rh6
_cell_length_a 4.116
_cell_length_b 4.116
_cell_length_c 17.269
_cell_angle_alpha 90.00
_cell_angle_beta 90.00
_cell_angle_gamma 90.00
_symmetry_space_group_name_H-M 'P 4/m m m'
_symmetry_Int_Tables_number 123
_symmetry_space_group_name_Hall '-P 4 2'
loop_
_atom_site_label
_atom_site_type_symbol
_atom_site_fract_x
_atom_site_fract_y
_atom_site_fract_z
Ac1 Ac 0.000 0.000 0.137
Pu1 Pu 0.000 0.000 0.500
Sb1 Sb 0.500 0.500 0.000
Sb2 Sb 0.500 0.500 0.300
Rh1 Rh 0.000 0.500 0.394
Rh2 Rh 0.500 0.500 0.152
```

Largest 6 diffraction maxima, sorted by position, 2θ from 15° to 90°:
26.6 deg, I = 100.0, hkl 1 0 3; 30.7 deg, I = 45.9, hkl 1 1 0; 31.1 deg, I = 49.4, hkl 1 1 1; 40.5 deg, I = 55.7, hkl 1 1 5; 44.0 deg, I = 70.9, hkl 2 0 0; 44.3 deg, I = 59.4, hkl 1 1 6